# 1
Computed powder XRD pattern of LaTbCu2P4 for Cu Kα (λ = 1.5418 Å), from a cell relaxed with GGA-PBE.

Top 8 peaks for 2θ = 10–90°, low angle first:
two_theta	Rel. int.	index
25.18	69	1 0 1
35.92	63	0 0 4
38.17	100	1 1 2
48.12	31	2 0 0
51.71	18	1 0 5
55.07	17	2 1 1
61.49	34	2 0 4
83.02	20	3 1 2

Structural model:
a b c (Å): 3.782 3.782 9.997
angles (deg): 90.00 90.00 90.00
Space group P4mm (No. 99)
One atom of each set of equivalent atoms:
La 0.000 0.000 0.000 (multiplicity 1)
Tb 0.500 0.500 0.533 (multiplicity 1)
Cu 0.000 0.500 0.275 (multiplicity 2)
P 0.000 0.000 0.423 (multiplicity 1)
P 0.000 0.500 0.758 (multiplicity 2)
P 0.500 0.500 0.130 (multiplicity 1)

# 2
Computed powder XRD pattern of YFe4P2 for Cu Kα (λ = 1.5418 Å), from a cell relaxed with GGA-PBE.

Top 8 peaks for 2θ = 10–90°, low angle first:
two_theta	Rel. int.	index
38.13	100	2 1 1
40.86	45	3 1 0
44.48	39	2 2 1
48.33	41	3 1 1
50.66	26	0 0 2
54.15	16	4 1 0
67.03	20	3 1 2
72.59	19	4 3 1

Structural model:
a b c (Å): 6.984 6.984 3.604
angles (deg): 90.00 90.00 90.00
Space group P4_2/mnm (No. 136)
One atom of each set of equivalent atoms:
Y 0.000 0.000 0.000 (multiplicity 2)
Fe 0.081 0.344 0.500 (multiplicity 8)
P 0.220 0.780 0.500 (multiplicity 4)